For LaNb2CoN4, a PBE-relaxed structure gives the theoretical powder diffractogram in this record (Cu Kα, 1.54184 Å).
Neutral-atom scattering factors, no anomalous dispersion.

Structural model:
Cell: 3.208 10.914 10.885 Å, 90.00 90.00 90.00°
Space group Cmcm (No. 63)
Inequivalent atoms, fractional coordinates:
La: 0.000 0.105 0.250 (multiplicity 4)
Nb: 0.000 0.368 0.057 (multiplicity 8)
Co: 0.000 0.160 0.750 (multiplicity 4)
N: 0.000 0.000 0.000 (multiplicity 4)
N: 0.000 0.269 0.610 (multiplicity 8)
N: 0.000 0.437 0.250 (multiplicity 4)

Top 10 peaks for 15° ≤ 2θ ≤ 90°, in order of falling intensity:
Position (°2θ), d/Å, intensity
33.45, 2.679, 100
32.86, 2.726, 85
29.57, 3.021, 79
41.01, 2.201, 77
38.32, 2.349, 59
57.03, 1.615, 45
53.50, 1.713, 23
51.41, 1.777, 21
57.46, 1.604, 21
67.79, 1.382, 21

=====

For LaPa2CoN5, a PBE-relaxed structure gives the theoretical powder diffractogram in this record (Cu Kα, 1.54184 Å).
Neutral-atom scattering factors, no anomalous dispersion.

Structural model:
Cell: 6.569 6.569 11.212 Å, 90.00 90.00 90.00°
Space group I4/mcm (No. 140)
Inequivalent atoms, fractional coordinates:
La: 0.000 0.000 0.250 (multiplicity 4)
Pa: 0.174 0.326 0.000 (multiplicity 8)
Co: 0.000 0.500 0.250 (multiplicity 4)
N: 0.000 0.000 0.000 (multiplicity 4)
N: 0.147 0.353 0.368 (multiplicity 16)

Top 10 peaks for 15° ≤ 2θ ≤ 90°, in order of falling intensity:
Position (°2θ), d/Å, intensity
31.53, 2.838, 100
39.00, 2.310, 39
31.93, 2.803, 24
15.81, 5.606, 23
58.53, 1.577, 18
51.25, 1.782, 17
63.47, 1.466, 12
43.57, 2.077, 11
24.89, 3.577, 11
56.67, 1.624, 10

=====

For SrLa2CoN, a PBE-relaxed structure gives the theoretical powder diffractogram in this record (Cu Kα, 1.54184 Å).
Neutral-atom scattering factors, no anomalous dispersion.

Structural model:
Cell: 6.076 6.076 3.577 Å, 90.00 90.00 90.00°
Space group P4/mmm (No. 123)
Inequivalent atoms, fractional coordinates:
Sr: 0.000 0.000 0.000 (multiplicity 1)
La: 0.000 0.500 0.500 (multiplicity 2)
Co: 0.500 0.500 0.500 (multiplicity 1)
N: 0.500 0.500 0.000 (multiplicity 1)

Top 10 peaks for 15° ≤ 2θ ≤ 90°, in order of falling intensity:
Position (°2θ), d/Å, intensity
29.40, 3.038, 100
32.57, 2.749, 78
42.06, 2.148, 37
54.19, 1.693, 36
38.90, 2.315, 27
60.03, 1.541, 25
24.89, 3.577, 21
28.97, 3.082, 20
68.24, 1.374, 17
69.14, 1.359, 16